Record 1
Structure and theoretical X-ray powder pattern of Re2PdRh2 (a crystal structure in Alexandria, relaxed with GGA-PBE; λ = 1.5418 Å (Cu Kα)).
No peak broadening, texture or thermal motion is included.

The 12 most intense peaks (2θ from 10° to 90°), low angle first:
d = 5.351 Å, 2θ = 16.57°, I = 27; d = 2.724 Å, 2θ = 32.89°, I = 10; d = 2.393 Å, 2θ = 37.58°, I = 63; d = 2.210 Å, 2θ = 40.82°, I = 19; d = 2.122 Å, 2θ = 42.61°, I = 100; d = 2.099 Å, 2θ = 43.10°, I = 23; d = 1.892 Å, 2θ = 48.09°, I = 13; d = 1.798 Å, 2θ = 50.79°, I = 12; d = 1.662 Å, 2θ = 55.25°, I = 20; d = 1.303 Å, 2θ = 72.53°, I = 17; d = 1.249 Å, 2θ = 76.24°, I = 15; d = 1.184 Å, 2θ = 81.29°, I = 13

Structural model:
```
Re2PdRh2
1.0
7.5677 0.0000 0.0000
0.0000 7.5677 0.0000
0.0000 0.0000 2.7235
Re Pd Rh
4 2 4
direct
0.1217 0.3783 0.0000
0.3783 0.8783 0.0000
0.6217 0.1217 0.0000
0.8783 0.6217 0.0000
0.0000 0.0000 0.0000
0.5000 0.5000 0.0000
0.1696 0.6696 0.5000
0.3304 0.1696 0.5000
0.6696 0.8304 0.5000
0.8304 0.3304 0.5000
```

***

Record 2
Structure and theoretical X-ray powder pattern of Rb2TcAgCl6 (a crystal structure in Alexandria, relaxed with GGA-PBE; λ = 1.5418 Å (Cu Kα)).
No peak broadening, texture or thermal motion is included.

The 12 most intense peaks (2θ from 10° to 90°), low angle first:
d = 6.179 Å, 2θ = 14.33°, I = 19; d = 5.944 Å, 2θ = 14.90°, I = 53; d = 4.084 Å, 2θ = 21.76°, I = 39; d = 3.616 Å, 2θ = 24.62°, I = 100; d = 3.230 Å, 2θ = 27.62°, I = 37; d = 2.892 Å, 2θ = 30.92°, I = 25; d = 2.707 Å, 2θ = 33.09°, I = 80; d = 2.409 Å, 2θ = 37.33°, I = 36; d = 2.312 Å, 2θ = 38.96°, I = 24; d = 2.088 Å, 2θ = 43.34°, I = 22; d = 2.005 Å, 2θ = 45.23°, I = 24; d = 1.808 Å, 2θ = 50.48°, I = 48

Structural model:
```
Rb2TcAgCl6
1.0
3.6164 2.0879 12.5672
-3.6164 2.0879 12.5672
0.0000 -4.1758 12.5672
Rb Tc Ag Cl
4 2 2 12
direct
0.1270 0.1270 0.1270
0.2972 0.2972 0.2972
0.7028 0.7028 0.7028
0.8730 0.8730 0.8730
0.0000 0.0000 0.0000
0.5000 0.5000 0.5000
0.4122 0.4122 0.4122
0.5878 0.5878 0.5878
0.1458 0.6214 0.6214
0.1947 0.1947 0.7230
0.1947 0.7230 0.1947
0.2770 0.8053 0.8053
0.3786 0.3786 0.8542
0.3786 0.8542 0.3786
0.6214 0.1458 0.6214
0.6214 0.6214 0.1458
0.7230 0.1947 0.1947
0.8053 0.2770 0.8053
0.8053 0.8053 0.2770
0.8542 0.3786 0.3786
```